Entry 1:
Theoretical PXRD pattern of Cu2Pd6Pt3 for a wavelength of 1.5418 Å, from a DFT-relaxed cell (PBE, Alexandria).
No peak broadening, texture or thermal motion is included.

Principal peaks in the range 2θ = 15–90°, in order of rising 2θ:
d (Å)  Position (°2θ)  Rel. int.
2.575  34.85  13.5
2.332  38.61  63.1
2.326  38.71  64.7
2.134  42.35  100.0
2.127  42.51  97.4
1.647  55.83  41.0
1.305  72.44  36.9
1.303  72.55  16.8
1.299  72.78  18.5
1.198  80.09  14.1

a = 4.326 Å, b = 4.326 Å, c = 19.697 Å
α = 94.39°, β = 94.39°, γ = 65.22°
Positions (direct):
Cu (0.171, 0.193, 0.022)
Cu (0.193, 0.171, 0.522)
Cu (0.807, 0.829, 0.478)
Cu (0.829, 0.807, 0.978)
Pd (0.072, 0.115, 0.392)
Pd (0.115, 0.072, 0.892)
Pd (0.246, 0.291, 0.155)
Pd (0.291, 0.246, 0.655)
Pd (0.433, 0.472, 0.435)
Pd (0.472, 0.433, 0.935)
Pd (0.528, 0.567, 0.065)
Pd (0.567, 0.528, 0.565)
Pd (0.709, 0.754, 0.345)
Pd (0.754, 0.709, 0.845)
Pd (0.885, 0.928, 0.108)
Pd (0.928, 0.885, 0.608)
Pt (0.024, 0.976, 0.750)
Pt (0.342, 0.389, 0.296)
Pt (0.389, 0.342, 0.796)
Pt (0.611, 0.658, 0.204)
Pt (0.658, 0.611, 0.704)
Pt (0.976, 0.024, 0.250)

Entry 2:
Theoretical PXRD pattern of CuPd5Pt for a wavelength of 1.5418 Å, from a DFT-relaxed cell (PBE, Alexandria).
No peak broadening, texture or thermal motion is included.

Principal peaks in the range 2θ = 15–90°, in order of rising 2θ:
d (Å)  Position (°2θ)  Rel. int.
5.332  16.63  20.8
3.165  28.20  23.7
2.252  40.04  14.0
2.207  40.90  100.0
2.135  42.32  18.5
2.046  44.27  20.2
1.966  46.17  19.7
1.418  65.88  12.0
1.210  79.16  11.4
1.176  81.90  12.7

a = 6.675 Å, b = 6.675 Å, c = 6.675 Å
α = 116.47°, β = 107.81°, γ = 104.38°
Positions (direct):
Cu (0.471, 0.221, 0.250)
Cu (0.529, 0.779, 0.750)
Pd (0.026, 0.776, 0.250)
Pd (0.255, 0.301, 0.546)
Pd (0.255, 0.709, 0.954)
Pd (0.257, 0.000, 0.757)
Pd (0.257, 0.500, 0.257)
Pd (0.743, 0.000, 0.243)
Pd (0.743, 0.500, 0.743)
Pd (0.745, 0.291, 0.046)
Pd (0.745, 0.699, 0.454)
Pd (0.974, 0.224, 0.750)
Pt (0.000, 0.000, 0.000)
Pt (0.500, 0.000, 0.500)

Entry 3:
Theoretical PXRD pattern of Cu2Pd4Pt5 for a wavelength of 1.5418 Å, from a DFT-relaxed cell (PBE, Alexandria).
No peak broadening, texture or thermal motion is included.

Principal peaks in the range 2θ = 15–90°, in order of rising 2θ:
d (Å)  Position (°2θ)  Rel. int.
5.230  16.95  16.3
2.262  39.84  100.0
2.256  39.96  99.3
1.957  46.41  97.2
1.383  67.74  41.4
1.182  81.41  12.2
1.180  81.56  24.8
1.179  81.65  24.6
1.178  81.74  12.3
1.131  85.92  11.6

a = 7.333 Å, b = 7.333 Å, c = 6.185 Å
α = 104.89°, β = 104.89°, γ = 30.93°
Positions (direct):
Cu (0.089, 0.089, 0.453)
Cu (0.911, 0.911, 0.547)
Pd (0.182, 0.182, 0.901)
Pd (0.455, 0.455, 0.280)
Pd (0.545, 0.545, 0.720)
Pd (0.818, 0.818, 0.099)
Pt (0.000, 0.000, 0.000)
Pt (0.273, 0.273, 0.369)
Pt (0.367, 0.367, 0.816)
Pt (0.633, 0.633, 0.184)
Pt (0.727, 0.727, 0.631)

Entry 4:
Theoretical PXRD pattern of Cu3Pd3Pt2 for a wavelength of 1.5418 Å, from a DFT-relaxed cell (PBE, Alexandria).
No peak broadening, texture or thermal motion is included.

Principal peaks in the range 2θ = 15–90°, in order of rising 2θ:
d (Å)  Position (°2θ)  Rel. int.
2.225  40.55  100.0
1.966  46.18  17.3
1.956  46.42  16.6
1.863  48.90  14.6
1.387  67.55  10.5
1.352  69.52  9.9
1.179  81.68  12.6
1.175  82.03  11.8
1.133  85.73  11.3
1.112  87.75  10.5

a = 8.280 Å, b = 8.280 Å, c = 8.280 Å
α = 154.00°, β = 152.53°, γ = 38.18°
Positions (direct):
Cu (0.000, 0.000, 0.000)
Cu (0.377, 0.877, 0.500)
Cu (0.623, 0.123, 0.500)
Pd (0.121, 0.621, 0.500)
Pd (0.500, 0.500, 0.000)
Pd (0.879, 0.379, 0.500)
Pt (0.254, 0.254, 0.000)
Pt (0.746, 0.746, 0.000)

Entry 5:
Theoretical PXRD pattern of Cu2PdPt6 for a wavelength of 1.5418 Å, from a DFT-relaxed cell (PBE, Alexandria).
No peak broadening, texture or thermal motion is included.

Principal peaks in the range 2θ = 15–90°, in order of rising 2θ:
d (Å)  Position (°2θ)  Rel. int.
3.769  23.61  40.0
2.322  38.78  70.3
2.311  38.97  49.0
2.252  40.04  51.7
2.226  40.53  94.6
2.219  40.66  99.2
2.212  40.80  100.0
2.033  44.58  46.4
1.933  47.01  38.5
1.157  83.57  48.9

a = 6.922 Å, b = 6.922 Å, c = 9.205 Å
α = 124.25°, β = 124.25°, γ = 22.58°
Positions (direct):
Cu (0.122, 0.122, 0.055)
Cu (0.878, 0.878, 0.945)
Pd (0.000, 0.000, 0.500)
Pt (0.056, 0.056, 0.266)
Pt (0.240, 0.240, 0.637)
Pt (0.346, 0.346, 0.170)
Pt (0.654, 0.654, 0.830)
Pt (0.760, 0.760, 0.363)
Pt (0.944, 0.944, 0.734)

Entry 6:
Theoretical PXRD pattern of Cu3PdPt6 for a wavelength of 1.5418 Å, from a DFT-relaxed cell (PBE, Alexandria).
No peak broadening, texture or thermal motion is included.

Principal peaks in the range 2θ = 15–90°, in order of rising 2θ:
d (Å)  Position (°2θ)  Rel. int.
3.853  23.09  25.0
2.630  34.08  56.6
2.419  37.17  42.7
2.224  40.56  85.8
2.172  41.57  100.0
2.049  44.21  71.3
1.698  54.01  25.1
1.342  70.15  21.4
1.319  71.55  25.4
1.209  79.24  19.2

a = 7.953 Å, b = 7.953 Å, c = 7.953 Å
α = 114.08°, β = 114.08°, γ = 114.08°
Positions (direct):
Cu (0.033, 0.750, 0.467)
Cu (0.250, 0.533, 0.967)
Cu (0.467, 0.033, 0.750)
Cu (0.533, 0.967, 0.250)
Cu (0.750, 0.467, 0.033)
Cu (0.967, 0.250, 0.533)
Pd (0.250, 0.250, 0.250)
Pd (0.750, 0.750, 0.750)
Pt (0.135, 0.779, 0.837)
Pt (0.163, 0.865, 0.221)
Pt (0.221, 0.163, 0.865)
Pt (0.279, 0.635, 0.337)
Pt (0.337, 0.279, 0.635)
Pt (0.365, 0.663, 0.721)
Pt (0.635, 0.337, 0.279)
Pt (0.663, 0.721, 0.365)
Pt (0.721, 0.365, 0.663)
Pt (0.779, 0.837, 0.135)
Pt (0.837, 0.135, 0.779)
Pt (0.865, 0.221, 0.163)